1.
Theoretical X-ray diffraction stick pattern of In2GaSb2 for Cu Kα, 1.54184 Å, from a DFT-relaxed cell (GGA-PBE, Alexandria).
Intensities are scaled so that the largest is 100.

Peak list (8 most intense, 15 to 90 degrees two-theta, sorted by position)
2θ (°)  I_rel
15.06  11
32.99  100
34.07  39
43.50  9
45.71  11
50.74  10
58.22  16
64.74  20

Cell and atoms:
```
In2GaSb2
1.0
8.3216 0.0000 0.0000
0.0000 8.3216 0.0000
0.0000 0.0000 3.9698
In Ga Sb
4 2 4
direct
0.1417 0.3583 0.0000
0.3583 0.8583 0.0000
0.6417 0.1417 0.0000
0.8583 0.6417 0.0000
0.0000 0.0000 0.0000
0.5000 0.5000 0.0000
0.1555 0.6555 0.5000
0.3445 0.1555 0.5000
0.6555 0.8445 0.5000
0.8445 0.3445 0.5000
```

2.
Theoretical X-ray diffraction stick pattern of Tb3Ge2Rh5 for Cu Kα, 1.54184 Å, from a DFT-relaxed cell (GGA-PBE, Alexandria).
Intensities are scaled so that the largest is 100.

Peak list (8 most intense, 15 to 90 degrees two-theta, sorted by position)
2θ (°)  I_rel
31.51  29
35.24  28
37.16  43
37.55  100
40.44  24
40.80  30
49.52  22
63.50  18

Cell and atoms:
```
Tb3Ge2Rh5
1.0
9.9757 0.0000 0.0000
0.0000 9.9757 0.0000
0.0000 0.0000 3.6814
Tb Ge Rh
6 4 10
direct
0.0000 0.0000 0.0000
0.1731 0.3269 0.0000
0.3269 0.8269 0.0000
0.5000 0.5000 0.0000
0.6731 0.1731 0.0000
0.8269 0.6731 0.0000
0.1231 0.6231 0.0000
0.3769 0.1231 0.0000
0.6231 0.8769 0.0000
0.8769 0.3769 0.0000
0.0000 0.5000 0.5000
0.0702 0.7830 0.5000
0.2170 0.0702 0.5000
0.2830 0.5702 0.5000
0.4298 0.2830 0.5000
0.5000 0.0000 0.5000
0.5702 0.7170 0.5000
0.7170 0.4298 0.5000
0.7830 0.9298 0.5000
0.9298 0.2170 0.5000
```

3.
Theoretical X-ray diffraction stick pattern of ZrS8Cl2 for Cu Kα, 1.54184 Å, from a DFT-relaxed cell (GGA-PBE, Alexandria).
Intensities are scaled so that the largest is 100.

Peak list (8 most intense, 15 to 90 degrees two-theta, sorted by position)
2θ (°)  I_rel
15.49  72
15.90  100
17.32  60
18.40  47
29.72  52
30.03  70
32.11  61
33.09  55

Cell and atoms:
```
ZrS8Cl2
1.0
6.1216 0.0000 0.0000
2.6405 5.8567 0.0000
1.3076 1.9663 8.9277
Zr S Cl
1 8 2
direct
0.0000 0.0000 0.0000
0.0121 0.2434 0.7201
0.0499 0.9174 0.7179
0.1105 0.5297 0.0519
0.4330 0.8893 0.0723
0.5670 0.1107 0.9277
0.8895 0.4703 0.9481
0.9501 0.0826 0.2821
0.9879 0.7566 0.2799
0.4068 0.7244 0.6591
0.5932 0.2756 0.3409
```

4.
Theoretical X-ray diffraction stick pattern of Sm12Ir6Pb for Cu Kα, 1.54184 Å, from a DFT-relaxed cell (GGA-PBE, Alexandria).
Intensities are scaled so that the largest is 100.

Peak list (8 most intense, 15 to 90 degrees two-theta, sorted by position)
2θ (°)  I_rel
17.41  18
30.40  25
32.90  100
35.24  15
45.40  37
55.62  20
64.71  17
81.24  17

Cell and atoms:
```
Sm12Ir6Pb
1.0
-5.0931 5.0931 5.0931
5.0931 -5.0931 5.0931
5.0931 5.0931 -5.0931
Sm Ir Pb
12 6 1
direct
0.1103 0.3030 0.8074
0.1926 0.4956 0.3030
0.1926 0.8897 0.6970
0.3030 0.1926 0.4956
0.3030 0.8074 0.1103
0.4956 0.3030 0.1926
0.5044 0.6970 0.8074
0.6970 0.1926 0.8897
0.6970 0.8074 0.5044
0.8074 0.1103 0.3030
0.8074 0.5044 0.6970
0.8897 0.6970 0.1926
0.1241 0.5000 0.6241
0.3759 0.8759 0.5000
0.5000 0.3759 0.8759
0.5000 0.6241 0.1241
0.6241 0.1241 0.5000
0.8759 0.5000 0.3759
0.0000 0.0000 0.0000
```